[1]
The following is a calculated X-ray diffraction stick pattern of Tl2SbF11. It was derived from the GGA-PBE geometry in Alexandria, using Cu Kα (λ = 1.5418 Å).
Neutral-atom scattering factors, no anomalous dispersion.

Top 12 peaks for 2θ from 15° to 90°, low angle first:
2θ (°)  d [Å]  I/Imax
16.6  5.328  498
22.0  4.044  964
22.4  3.968  615
24.1  3.685  809
25.8  3.457  1000
28.6  3.120  308
33.6  2.664  217
35.2  2.547  298
44.8  2.025  442
45.3  2.003  263
47.1  1.930  411
49.7  1.836  318

Crystal structure
```
Tl2SbF11
1.0
-3.9146 5.1032 5.3278
3.9146 -5.1032 5.3278
3.9146 5.1032 -5.3278
Tl Sb F
4 2 22
direct
0.1815 0.1392 0.3207
0.3185 0.6392 0.9577
0.6815 0.3608 0.0423
0.8185 0.8608 0.6793
0.2500 0.7500 0.5000
0.7500 0.2500 0.5000
0.0000 0.0000 0.0000
0.0064 0.4341 0.7433
0.0849 0.8508 0.6438
0.1908 0.9341 0.4277
0.2070 0.4411 0.3562
0.2066 0.8618 0.0684
0.2934 0.3618 0.6553
0.2930 0.6492 0.2341
0.3092 0.7369 0.7433
0.4151 0.0589 0.7659
0.4936 0.2369 0.4277
0.5000 0.5000 0.0000
0.5064 0.7631 0.5723
0.5849 0.9411 0.2341
0.6908 0.2631 0.2567
0.7070 0.3508 0.7659
0.7066 0.6382 0.3447
0.7934 0.1382 0.9316
0.7930 0.5589 0.6438
0.8092 0.0659 0.5723
0.9151 0.1492 0.3562
0.9936 0.5659 0.2567
```

[2]
The following is a calculated X-ray diffraction stick pattern of Nd5Zn2. It was derived from the GGA-PBE geometry in Alexandria, using Cu Kα (λ = 1.5418 Å).
Neutral-atom scattering factors, no anomalous dispersion.

Top 12 peaks for 2θ from 15° to 90°, low angle first:
2θ (°)  d [Å]  I/Imax
28.6  3.116  300
29.2  3.057  1000
29.7  3.012  397
30.0  2.978  657
30.2  2.962  356
32.1  2.792  498
34.2  2.624  419
34.4  2.606  393
35.7  2.513  433
36.0  2.494  520
40.8  2.210  311
48.4  1.882  243

Crystal structure
```
Nd5Zn2
1.0
8.0766 -3.8696 0.0000
8.0766 3.8696 0.0000
-0.3442 0.0000 6.6108
Nd Zn
10 4
direct
0.0322 0.9678 0.7500
0.1534 0.3077 0.7394
0.2817 0.5510 0.4769
0.3077 0.1534 0.2394
0.4490 0.7183 0.0231
0.5510 0.2817 0.9769
0.6923 0.8466 0.7606
0.7183 0.4490 0.5231
0.8466 0.6923 0.2606
0.9678 0.0322 0.2500
0.1375 0.6314 0.9830
0.3686 0.8625 0.5170
0.6314 0.1375 0.4830
0.8625 0.3686 0.0170
```

[3]
The following is a calculated X-ray diffraction stick pattern of Pr2Dy7In2. It was derived from the GGA-PBE geometry in Alexandria, using Cu Kα (λ = 1.5418 Å).
Neutral-atom scattering factors, no anomalous dispersion.

Top 12 peaks for 2θ from 15° to 90°, low angle first:
2θ (°)  d [Å]  I/Imax
24.7  3.601  641
28.2  3.160  798
30.3  2.947  881
30.6  2.925  251
32.9  2.722  258
33.2  2.700  883
36.5  2.462  1000
41.9  2.155  516
57.5  1.603  279
58.0  1.590  244
63.6  1.462  208
66.4  1.409  359

Crystal structure
```
Pr2Dy7In2
1.0
3.3687 -5.8939 0.0000
3.3687 5.8939 0.0000
0.0000 0.0000 9.1164
Pr Dy In
2 7 2
direct
0.2368 0.2368 0.0000
0.7632 0.7632 0.0000
0.0000 0.0000 0.5000
0.0000 0.5000 0.2044
0.0000 0.5000 0.7956
0.5000 0.0000 0.2044
0.5000 0.0000 0.7956
0.5000 0.5000 0.3174
0.5000 0.5000 0.6826
0.2706 0.7294 0.5000
0.7294 0.2706 0.5000
```

[4]
The following is a calculated X-ray diffraction stick pattern of GePd3Se2. It was derived from the GGA-PBE geometry in Alexandria, using Cu Kα (λ = 1.5418 Å).
Neutral-atom scattering factors, no anomalous dispersion.

Top 12 peaks for 2θ from 15° to 90°, low angle first:
2θ (°)  d [Å]  I/Imax
34.0  2.636  1000
34.2  2.623  500
47.3  1.920  381
48.6  1.874  162
49.1  1.854  174
50.6  1.804  298
57.9  1.593  96
61.2  1.514  174
63.5  1.465  71
71.6  1.318  93
79.3  1.208  70
79.6  1.205  73

Crystal structure
```
GePd3Se2
1.0
3.3694 -5.5626 0.0000
3.3694 5.5626 0.0000
-2.0165 0.0000 5.8587
Ge Pd Se
2 6 4
direct
0.1716 0.8284 0.0000
0.8284 0.1716 0.0000
0.0652 0.4217 0.7715
0.2147 0.2147 0.2133
0.4217 0.0652 0.7715
0.5783 0.9348 0.2285
0.7853 0.7853 0.7867
0.9348 0.5783 0.2285
0.0000 0.0000 0.5000
0.3339 0.6661 0.5000
0.5000 0.5000 0.0000
0.6661 0.3339 0.5000
```